Theoretical XRD peak list
Compound: YCrB2O6
Radiation: copper Kα
Structure: a crystal structure in the Materials Project, relaxed with PBE+U
Lines closer than 0.1° are merged.

Cell and atoms:
a b c (Å): 4.8231 4.8231 15.7468
angles (deg): 90.00 90.00 120.00
Space group R-3 (No. 148, hexagonal axes)
Unique sites:
Y (0.0000, 0.0000, 0.0000)
Cr (0.0000, 0.0000, 0.5000)
B (0.0000, 0.0000, 0.2401)
O (0.0283, 0.3004, 0.2433)

The 10 most intense peaks (10° ≤ 2θ ≤ 80°), sorted by position:
Position (°2θ)	Rel. int.	hkl
24.12	71	0 1 2
31.22	100	1 0 4
37.29	25	1 1 0
41.20	20	1 1 3
44.90	25	2 0 2
49.40	14	0 2 4
51.31	20	0 1 8
51.46	41	2 -1 6
59.74	18	3 -2 2
63.49	16	3 -1 4